# 1
Rb4ThMo4O16: computed X-ray powder pattern (Cu Kα (λ = 1.5418 Å)), based on a structure optimized by DFT (PBE+U).

Structure:
Cell lengths 14.045, 14.045, 11.575 Å; angles 113.22, 113.22, 26.83 degrees
Atoms (fractional coordinates):
Rb (0.020, 0.529, 0.351)
Rb (0.138, 0.643, 0.797)
Rb (0.357, 0.862, 0.703)
Rb (0.471, 0.980, 0.149)
Rb (0.529, 0.020, 0.851)
Rb (0.643, 0.138, 0.297)
Rb (0.862, 0.357, 0.203)
Rb (0.980, 0.471, 0.649)
Th (0.250, 0.750, 0.250)
Th (0.750, 0.250, 0.750)
Mo (0.056, 0.618, 0.084)
Mo (0.197, 0.702, 0.527)
Mo (0.298, 0.803, 0.973)
Mo (0.382, 0.944, 0.416)
Mo (0.618, 0.056, 0.584)
Mo (0.702, 0.197, 0.027)
Mo (0.803, 0.298, 0.473)
Mo (0.944, 0.382, 0.916)
O (0.025, 0.747, 0.446)
O (0.048, 0.945, 0.619)
O (0.055, 0.952, 0.881)
O (0.071, 0.748, 0.162)
O (0.094, 0.539, 0.920)
O (0.193, 0.202, 0.399)
O (0.202, 0.193, 0.899)
O (0.248, 0.392, 0.160)
O (0.252, 0.929, 0.338)
O (0.253, 0.975, 0.054)
O (0.328, 0.610, 0.408)
O (0.389, 0.502, 0.634)
O (0.390, 0.672, 0.092)
O (0.392, 0.248, 0.660)
O (0.461, 0.906, 0.580)
O (0.498, 0.611, 0.866)
O (0.502, 0.389, 0.134)
O (0.539, 0.094, 0.420)
O (0.608, 0.752, 0.340)
O (0.610, 0.328, 0.908)
O (0.611, 0.498, 0.366)
O (0.672, 0.390, 0.592)
O (0.747, 0.025, 0.946)
O (0.748, 0.071, 0.662)
O (0.752, 0.608, 0.840)
O (0.798, 0.807, 0.101)
O (0.807, 0.798, 0.601)
O (0.906, 0.461, 0.080)
O (0.929, 0.252, 0.838)
O (0.945, 0.048, 0.119)
O (0.952, 0.055, 0.381)
O (0.975, 0.253, 0.554)

Main lines, sorted by position (2θ from 10° to 90°):
2theta  Rel. int.
26.42  100.0
26.63  45.4
26.86  96.3
27.37  40.8
38.56  34.3
46.62  21.9
47.07  29.8
47.42  17.3
47.81  18.0
62.39  17.6

# 2
MgV4O5F7: computed X-ray powder pattern (Cu Kα (λ = 1.5418 Å)), based on a structure optimized by DFT (PBE+U).

Structure:
Cell lengths 5.211, 5.416, 8.984 Å; angles 105.63, 90.24, 117.53 degrees
Atoms (fractional coordinates):
Mg (0.000, 0.000, 0.000)
V (0.201, 0.368, 0.395)
V (0.410, 0.880, 0.178)
V (0.649, 0.368, 0.872)
V (0.971, 0.891, 0.637)
O (0.140, 0.099, 0.522)
O (0.243, 0.656, 0.283)
O (0.256, 0.140, 0.206)
O (0.257, 0.138, 0.838)
O (0.749, 0.648, 0.788)
F (0.123, 0.666, 0.982)
F (0.133, 0.623, 0.584)
F (0.621, 0.599, 0.482)
F (0.640, 0.674, 0.070)
F (0.717, 0.158, 0.017)
F (0.742, 0.111, 0.714)
F (0.769, 0.161, 0.322)

Main lines, sorted by position (2θ from 10° to 90°):
2theta  Rel. int.
23.42  48.4
23.75  100.0
32.55  12.4
32.76  11.9
33.19  11.9
34.45  11.7
39.73  14.0
47.89  11.7
48.61  22.3
53.91  15.3

# 3
Li2Co2OF6: computed X-ray powder pattern (Cu Kα (λ = 1.5418 Å)), based on a structure optimized by DFT (PBE+U).

Structure:
Cell lengths 5.215, 6.831, 8.460 Å; angles 69.91, 76.54, 85.08 degrees
Atoms (fractional coordinates):
Li (0.000, 0.000, 0.000)
Li (0.197, 0.730, 0.663)
Li (0.455, 0.755, 0.171)
Li (0.672, 0.503, 0.815)
Co (0.034, 0.458, 0.116)
Co (0.152, 0.266, 0.577)
Co (0.490, 0.224, 0.242)
Co (0.597, 0.030, 0.736)
O (0.151, 0.329, 0.320)
O (0.271, 0.135, 0.786)
F (0.144, 0.732, 0.100)
F (0.240, 0.538, 0.541)
F (0.409, 0.365, 0.013)
F (0.415, 0.953, 0.284)
F (0.518, 0.764, 0.723)
F (0.525, 0.164, 0.483)
F (0.657, 0.500, 0.208)
F (0.681, 0.927, 0.960)
F (0.786, 0.313, 0.688)
F (0.873, 0.184, 0.134)
F (0.980, 0.557, 0.887)
F (0.981, 0.991, 0.616)

Main lines, sorted by position (2θ from 10° to 90°):
2theta  Rel. int.
13.80  100.0
14.69  98.7
22.28  36.5
22.46  42.9
22.94  49.4
25.71  33.3
32.91  25.1
40.95  45.4
42.57  42.3
46.36  32.0